Simulated powder diffraction line list
Compound: Tm2InCu2
Radiation: Cu Kα, 1.54184 Å
Structure: a PBE-relaxed structure

abc: 7.567 7.567 3.574
angles: 90.00 90.00 90.00
Space group P4/mbm (No. 127)
Unique sites:
Tm 0.172 0.328 0.000 x4
In 0.000 0.000 0.500 x2
Cu 0.121 0.621 0.500 x4

Top 10 peaks for 2θ = 10–90°, most intense first:
| index | d_spacing | two_theta | Rel. int. |
| --- | --- | --- | --- |
| 2 1 1 | 2.457 | 36.57 | 100.0 |
| 2 0 1 | 2.598 | 34.52 | 47.5 |
| 3 1 0 | 2.393 | 37.59 | 46.0 |
| 2 1 0 | 3.384 | 26.34 | 22.5 |
| 3 1 2 | 1.432 | 65.15 | 17.7 |
| 3 3 1 | 1.596 | 57.77 | 17.4 |
| 4 1 1 | 1.633 | 56.36 | 17.2 |
| 4 1 0 | 1.835 | 49.68 | 14.2 |
| 0 0 2 | 1.787 | 51.11 | 14.1 |
| 2 2 0 | 2.675 | 33.50 | 13.1 |